# 1
For TbAl2Ag3, a cell relaxed with GGA-PBE gives the theoretical X-ray diffraction stick pattern in this record (CuKα).
Peak positions follow from Bragg's law for the DFT cell and can differ from measured ones.

The 8 most intense peaks (10° ≤ 2θ ≤ 80°), by intensity:
d_spacing  I/Imax
2.704  100
2.722  49
2.830  48
2.801  37
1.962  34
2.456  33
2.126  22
1.609  20

Structure:
Cell: 6.524 6.524 5.661 Å, 90.00 90.00 81.21°
Atoms (fractional coordinates):
Tb: 0.146 0.854 0.750
Tb: 0.854 0.146 0.250
Al: 0.272 0.272 0.000
Al: 0.272 0.272 0.500
Al: 0.728 0.728 0.000
Al: 0.728 0.728 0.500
Ag: 0.062 0.623 0.250
Ag: 0.377 0.938 0.250
Ag: 0.492 0.508 0.250
Ag: 0.508 0.492 0.750
Ag: 0.623 0.062 0.750
Ag: 0.938 0.377 0.750


# 2
For Pr2Tm2Sb5, a cell relaxed with GGA-PBE gives the theoretical X-ray diffraction stick pattern in this record (CuKα).
Peak positions follow from Bragg's law for the DFT cell and can differ from measured ones.

The 8 most intense peaks (10° ≤ 2θ ≤ 80°), by intensity:
d_spacing  I/Imax
3.031  100
2.690  93
2.576  74
2.531  68
2.802  40
3.308  37
2.891  34
2.669  34

Structure:
Cell: 8.969 8.969 8.273 Å, 90.00 90.00 53.59°
Atoms (fractional coordinates):
Pr: 0.192 0.192 0.000
Pr: 0.308 0.308 0.500
Pr: 0.692 0.692 0.500
Pr: 0.808 0.808 0.000
Tm: 0.155 0.845 0.660
Tm: 0.345 0.655 0.160
Tm: 0.655 0.345 0.840
Tm: 0.845 0.155 0.340
Sb: 0.000 0.000 0.000
Sb: 0.011 0.722 0.356
Sb: 0.222 0.511 0.856
Sb: 0.278 0.989 0.356
Sb: 0.489 0.778 0.856
Sb: 0.500 0.500 0.500
Sb: 0.511 0.222 0.144
Sb: 0.722 0.011 0.644
Sb: 0.778 0.489 0.144
Sb: 0.989 0.278 0.644


Q: What is the formula in the second record?
A: Pr2Tm2Sb5